1.
Simulated X-ray diffraction stick pattern of LiMnC2O6 for a wavelength of 1.5418 Å, from a GGA+U-relaxed structure.

Top 12 peaks for 5 to 70 degrees two-theta, in order of falling intensity:
- 17.28°, 5.132 Å, rel. 100
- 42.01°, 2.151 Å, rel. 70
- 31.56°, 2.835 Å, rel. 67
- 31.91°, 2.805 Å, rel. 61
- 32.56°, 2.750 Å, rel. 50
- 22.53°, 3.946 Å, rel. 40
- 22.28°, 3.989 Å, rel. 36
- 23.01°, 3.866 Å, rel. 34
- 42.95°, 2.106 Å, rel. 31
- 52.27°, 1.750 Å, rel. 27
- 52.69°, 1.737 Å, rel. 26
- 53.57°, 1.711 Å, rel. 16

Atomic structure:
a b c (Å): 4.760 5.740 7.496
angles (deg): 73.38 89.30 89.84
Sites, in units of the cell vectors:
Li  0.000  0.000  0.000
Li  0.500  0.500  0.500
Mn  0.000  0.000  0.500
Mn  0.500  0.500  0.000
C  0.018  0.511  0.757
C  0.495  0.014  0.252
C  0.505  0.987  0.749
C  0.983  0.489  0.243
O  0.110  0.344  0.387
O  0.128  0.637  0.117
O  0.239  0.010  0.749
O  0.292  0.518  0.762
O  0.343  0.881  0.389
O  0.364  0.165  0.113
O  0.636  0.836  0.887
O  0.657  0.120  0.611
O  0.709  0.482  0.238
O  0.761  0.990  0.252
O  0.872  0.364  0.884
O  0.891  0.656  0.613

***

2.
Simulated X-ray diffraction stick pattern of LiMnCO4 for a wavelength of 1.5418 Å, from a GGA+U-relaxed structure.

Top 12 peaks for 5 to 70 degrees two-theta, in order of falling intensity:
- 13.40°, 6.608 Å, rel. 100
- 30.40°, 2.941 Å, rel. 60
- 21.03°, 4.224 Å, rel. 39
- 28.41°, 3.141 Å, rel. 30
- 34.85°, 2.574 Å, rel. 29
- 19.33°, 4.592 Å, rel. 26
- 34.95°, 2.567 Å, rel. 21
- 37.48°, 2.399 Å, rel. 19
- 48.93°, 1.862 Å, rel. 17
- 43.78°, 2.068 Å, rel. 14
- 54.94°, 1.671 Å, rel. 14
- 36.29°, 2.475 Å, rel. 12

Atomic structure:
a b c (Å): 3.378 9.185 9.613
angles (deg): 90.00 98.25 90.00
Sites, in units of the cell vectors:
Li  0.203  0.180  0.412
Li  0.203  0.320  0.912
Li  0.797  0.680  0.088
Li  0.797  0.820  0.588
Mn  0.224  0.564  0.390
Mn  0.224  0.936  0.890
Mn  0.776  0.064  0.110
Mn  0.776  0.436  0.610
C  0.207  0.632  0.842
C  0.207  0.868  0.342
C  0.793  0.132  0.658
C  0.793  0.368  0.158
O  0.187  0.509  0.772
O  0.187  0.991  0.272
O  0.190  0.745  0.271
O  0.190  0.755  0.771
O  0.248  0.632  0.975
O  0.248  0.868  0.475
O  0.271  0.110  0.996
O  0.271  0.390  0.496
O  0.729  0.610  0.504
O  0.729  0.890  0.004
O  0.752  0.132  0.525
O  0.752  0.368  0.025
O  0.810  0.245  0.229
O  0.810  0.255  0.729
O  0.813  0.009  0.728
O  0.813  0.491  0.228